(1)
For HfAl3Tc, a crystal structure in Alexandria, relaxed with GGA-PBE gives the theoretical powder XRD pattern in this record (λ = 1.5418 Å (Cu Kα)).
Peak positions follow from Bragg's law for the DFT cell and can differ from measured ones.

Unit cell a=6.426 b=6.426 c=5.032 alpha=90.00 beta=90.00 gamma=109.62
Fractional coordinates of all 10 atoms:
Hf1 0.067 0.933 0.750
Hf2 0.933 0.067 0.250
Al1 0.068 0.598 0.250
Al2 0.402 0.932 0.250
Al3 0.500 0.500 0.000
Al4 0.500 0.500 0.500
Al5 0.598 0.068 0.750
Al6 0.932 0.402 0.750
Tc1 0.302 0.698 0.750
Tc2 0.698 0.302 0.250

Peak list (6 most intense, 2θ from 10° to 80°, by angle)
Position (°2θ), Rel. int.
14.63, 71
22.98, 100
24.03, 88
38.71, 89
41.64, 52
46.06, 75

***

(2)
For Sr2Zn6CuPt, a crystal structure in Alexandria, relaxed with GGA-PBE gives the theoretical powder XRD pattern in this record (λ = 1.5418 Å (Cu Kα)).
Peak positions follow from Bragg's law for the DFT cell and can differ from measured ones.

Unit cell a=6.808 b=6.808 c=6.796 alpha=119.86 beta=119.86 gamma=90.19
Fractional coordinates of all 10 atoms:
Sr1 0.250 0.750 0.000
Sr2 0.750 0.250 0.000
Zn1 0.243 0.243 0.499
Zn2 0.244 0.244 0.988
Zn3 0.244 0.756 0.500
Zn4 0.756 0.244 0.500
Zn5 0.756 0.756 0.012
Zn6 0.757 0.757 0.501
Cu1 0.000 0.000 0.500
Pt1 0.500 0.500 0.500

Peak list (6 most intense, 2θ from 10° to 80°, by angle)
Position (°2θ), Rel. int.
18.43, 60
26.17, 88
32.20, 48
37.31, 100
37.42, 50
53.83, 84

***

(3)
For MnNbCoPt, a crystal structure in Alexandria, relaxed with GGA-PBE gives the theoretical powder XRD pattern in this record (λ = 1.5418 Å (Cu Kα)).
Peak positions follow from Bragg's law for the DFT cell and can differ from measured ones.

Unit cell a=3.696 b=3.839 c=3.946 alpha=90.00 beta=90.00 gamma=90.00
Fractional coordinates of all 4 atoms:
Mn1 0.000 0.000 0.000
Nb1 0.500 0.000 0.500
Co1 0.000 0.500 0.500
Pt1 0.500 0.500 0.000

Peak list (6 most intense, 2θ from 10° to 80°, by angle)
Position (°2θ), Rel. int.
24.08, 17
32.54, 16
40.89, 100
46.00, 18
47.36, 16
49.31, 14

***

(4)
For Pa6ReRh5, a crystal structure in Alexandria, relaxed with GGA-PBE gives the theoretical powder XRD pattern in this record (λ = 1.5418 Å (Cu Kα)).
Peak positions follow from Bragg's law for the DFT cell and can differ from measured ones.

Unit cell a=8.955 b=8.955 c=8.955 alpha=150.23 beta=135.71 gamma=54.28
Fractional coordinates of all 12 atoms:
Pa1 0.088 0.844 0.244
Pa2 0.248 0.500 0.748
Pa3 0.400 0.156 0.244
Pa4 0.600 0.844 0.756
Pa5 0.752 0.500 0.252
Pa6 0.912 0.156 0.756
Re1 0.000 0.000 0.000
Rh1 0.196 0.696 0.500
Rh2 0.319 0.319 0.000
Rh3 0.500 0.000 0.500
Rh4 0.681 0.681 0.000
Rh5 0.804 0.304 0.500

Peak list (6 most intense, 2θ from 10° to 80°, by angle)
Position (°2θ), Rel. int.
33.74, 27
37.12, 100
39.16, 23
52.63, 16
62.58, 14
69.62, 16

***

(5)
For Nd3Cu2Sn3, a crystal structure in Alexandria, relaxed with GGA-PBE gives the theoretical powder XRD pattern in this record (λ = 1.5418 Å (Cu Kα)).
Peak positions follow from Bragg's law for the DFT cell and can differ from measured ones.

Unit cell a=6.100 b=6.100 c=15.451 alpha=90.00 beta=90.00 gamma=136.18
Fractional coordinates of all 16 atoms:
Nd1 0.082 0.918 0.612
Nd2 0.082 0.918 0.888
Nd3 0.364 0.636 0.750
Nd4 0.636 0.364 0.250
Nd5 0.918 0.082 0.112
Nd6 0.918 0.082 0.388
Cu1 0.215 0.785 0.099
Cu2 0.215 0.785 0.401
Cu3 0.785 0.215 0.599
Cu4 0.785 0.215 0.901
Sn1 0.342 0.658 0.250
Sn2 0.374 0.626 0.540
Sn3 0.374 0.626 0.960
Sn4 0.626 0.374 0.040
Sn5 0.626 0.374 0.460
Sn6 0.658 0.342 0.750

Peak list (6 most intense, 2θ from 10° to 80°, by angle)
Position (°2θ), Rel. int.
31.37, 100
33.01, 17
35.48, 31
38.79, 23
39.59, 30
60.75, 19

***

(6)
For SrLiTeHOsBr, a crystal structure in Alexandria, relaxed with GGA-PBE gives the theoretical powder XRD pattern in this record (λ = 1.5418 Å (Cu Kα)).
Peak positions follow from Bragg's law for the DFT cell and can differ from measured ones.

Unit cell a=8.784 b=8.784 c=8.784 alpha=29.22 beta=29.22 gamma=29.22
Fractional coordinates of all 6 atoms:
Sr1 0.000 0.000 0.000
Li1 0.152 0.152 0.152
Te1 0.769 0.769 0.769
H1 0.354 0.354 0.354
Os1 0.419 0.419 0.419
Br1 0.253 0.253 0.253

Peak list (6 most intense, 2θ from 10° to 80°, by angle)
Position (°2θ), Rel. int.
10.53, 100
21.15, 35
24.25, 32
27.21, 34
29.25, 56
40.73, 55

***

(7)
For TiHgPt, a crystal structure in Alexandria, relaxed with GGA-PBE gives the theoretical powder XRD pattern in this record (λ = 1.5418 Å (Cu Kα)).
Peak positions follow from Bragg's law for the DFT cell and can differ from measured ones.

Unit cell a=4.687 b=4.687 c=6.049 alpha=90.00 beta=90.00 gamma=109.88
Fractional coordinates of all 6 atoms:
Ti1 0.250 0.750 0.821
Ti2 0.750 0.250 0.179
Hg1 0.250 0.750 0.357
Hg2 0.750 0.250 0.643
Pt1 0.250 0.250 0.000
Pt2 0.750 0.750 0.000

Peak list (6 most intense, 2θ from 10° to 80°, by angle)
Position (°2θ), Rel. int.
24.99, 36
27.53, 100
36.01, 62
36.53, 48
40.95, 78
61.26, 35

***

(8)
For Nd3Sn2Pd6, a crystal structure in Alexandria, relaxed with GGA-PBE gives the theoretical powder XRD pattern in this record (λ = 1.5418 Å (Cu Kα)).
Peak positions follow from Bragg's law for the DFT cell and can differ from measured ones.

Unit cell a=8.484 b=8.484 c=8.484 alpha=109.47 beta=109.47 gamma=109.47
Fractional coordinates of all 22 atoms:
Nd1 0.000 0.288 0.288
Nd2 0.000 0.712 0.712
Nd3 0.288 0.000 0.288
Nd4 0.288 0.288 0.000
Nd5 0.712 0.000 0.712
Nd6 0.712 0.712 0.000
Sn1 0.000 0.000 0.500
Sn2 0.000 0.500 0.000
Sn3 0.500 0.000 0.000
Sn4 0.500 0.500 0.500
Pd1 0.000 0.340 0.660
Pd2 0.000 0.660 0.340
Pd3 0.320 0.660 0.660
Pd4 0.340 0.000 0.660
Pd5 0.340 0.340 0.680
Pd6 0.340 0.660 0.000
Pd7 0.340 0.680 0.340
Pd8 0.660 0.000 0.340
Pd9 0.660 0.320 0.660
Pd10 0.660 0.340 0.000
Pd11 0.660 0.660 0.320
Pd12 0.680 0.340 0.340

Peak list (6 most intense, 2θ from 10° to 80°, by angle)
Position (°2θ), Rel. int.
31.64, 29
34.25, 27
36.70, 17
39.01, 100
62.93, 20
70.66, 26